No. 1
Theoretical powder diffractogram
Compound: LaNd4Ho2Mg
Radiation: Cu Ka
Structure: a crystal structure in Alexandria, relaxed with PBE

Crystal structure
```
8
Lattice="5.903 0.000 0.000 0.000 5.903 0.000 0.000 0.000 7.575" Properties=species:S:1:pos:R:3 pbc="T T T"
La 0.000 0.000 0.000
Nd 0.000 2.951 1.871
Nd 0.000 2.951 5.704
Nd 2.951 0.000 1.871
Nd 2.951 0.000 5.704
Ho 0.000 0.000 3.788
Ho 2.951 2.951 3.788
Mg 2.951 2.951 0.000
```

Most intense lines, 10 to 80 degrees two-theta, in order of rising 2θ:
| 2θ (°) | d [Å] | Rel. int. | hkl |
| --- | --- | --- | --- |
| 30.3 | 2.951 | 57 | 2 0 0 |
| 31.9 | 2.805 | 100 | 1 1 2 |
| 43.4 | 2.087 | 22 | 2 2 0 |
| 48.0 | 1.894 | 8 | 0 0 4 |
| 54.8 | 1.674 | 43 | 3 1 2 |
| 57.9 | 1.594 | 18 | 2 0 4 |
| 66.7 | 1.402 | 12 | 2 2 4 |
| 71.5 | 1.320 | 10 | 4 2 0 |
| 72.4 | 1.306 | 9 | 3 3 2 |
| 79.3 | 1.208 | 7 | 1 1 6 |

=====

No. 2
Theoretical powder diffractogram
Compound: KSNO3
Radiation: Cu Ka
Structure: a crystal structure in Alexandria, relaxed with PBE

Crystal structure
```
24
Lattice="5.830 0.000 0.000 0.000 8.190 0.000 0.000 0.000 9.255" Properties=species:S:1:pos:R:3 pbc="T T T"
K 1.042 2.047 0.000
K 1.042 2.047 4.627
K 4.788 6.142 0.000
K 4.788 6.142 4.627
S 1.856 5.278 2.314
S 1.856 7.006 6.941
S 3.974 1.184 2.314
S 3.974 2.911 6.941
N 1.040 5.583 6.941
N 1.040 6.701 2.314
N 4.789 1.488 6.941
N 4.789 2.607 2.314
O 1.408 4.621 1.076
O 1.408 4.621 3.552
O 1.408 7.663 5.703
O 1.408 7.663 8.179
O 2.542 1.515 2.314
O 2.542 2.579 6.941
O 3.288 5.610 2.314
O 3.288 6.674 6.941
O 4.422 0.526 1.076
O 4.422 0.526 3.552
O 4.422 3.568 5.703
O 4.422 3.568 8.179
```

Most intense lines, 10 to 80 degrees two-theta, in order of rising 2θ:
| 2θ (°) | d [Å] | Rel. int. | hkl |
| --- | --- | --- | --- |
| 21.0 | 4.225 | 47 | 1 1 1 |
| 21.7 | 4.095 | 22 | 0 2 0 |
| 23.8 | 3.745 | 44 | 0 2 1 |
| 24.6 | 3.624 | 26 | 1 0 2 |
| 26.9 | 3.314 | 100 | 1 1 2 |
| 28.3 | 3.151 | 17 | 1 2 1 |
| 30.7 | 2.915 | 25 | 2 0 0 |
| 36.3 | 2.472 | 32 | 1 3 0 |
| 45.0 | 2.014 | 20 | 0 2 4 |
| 48.6 | 1.872 | 10 | 0 4 2 |

=====

No. 3
Theoretical powder diffractogram
Compound: Ba3Li2
Radiation: Cu Ka
Structure: a crystal structure in Alexandria, relaxed with PBE

Crystal structure
```
10
Lattice="5.098 0.000 0.000 0.000 18.378 0.000 0.000 0.000 5.117" Properties=species:S:1:pos:R:3 pbc="T T T"
Ba 0.000 0.000 0.000
Ba 0.000 6.577 2.558
Ba 0.000 11.801 2.558
Ba 2.549 2.612 2.558
Ba 2.549 9.189 0.000
Ba 2.549 15.766 2.558
Li 0.000 3.812 0.000
Li 0.000 14.566 0.000
Li 2.549 5.377 0.000
Li 2.549 13.001 0.000
```

Most intense lines, 10 to 80 degrees two-theta, in order of rising 2θ:
| 2θ (°) | d [Å] | Rel. int. | hkl |
| --- | --- | --- | --- |
| 19.9 | 4.470 | 31 | 0 2 1 |
| 22.7 | 3.919 | 92 | 1 3 0 |
| 25.1 | 3.544 | 100 | 1 1 1 |
| 26.1 | 3.419 | 72 | 0 4 1 |
| 29.2 | 3.063 | 16 | 0 6 0 |
| 35.1 | 2.558 | 19 | 0 0 2 |
| 35.2 | 2.549 | 19 | 2 0 0 |
| 42.2 | 2.142 | 36 | 1 3 2 |
| 42.6 | 2.124 | 40 | 1 7 1 |
| 44.3 | 2.043 | 34 | 2 4 1 |